# 1
For Pr2USiRu4, DFT lattice parameters and positions (GGA-PBE) gives the simulated X-ray diffraction stick pattern in this record (Cu Kα, 1.54184 Å).

Structural model:
```
data_Pr2USiRu4
_cell_length_a 5.8241
_cell_length_b 12.5143
_cell_length_c 18.1375
_cell_angle_alpha 90.00
_cell_angle_beta 90.00
_cell_angle_gamma 90.00
_space_group_name_H-M_alt 'F d d d'
_space_group_IT_number 70
loop_
_space_group_symop_operation_xyz
'x,y,z'
'-x,-y,-z'
'-x+1/4,-y+1/4,z'
'x+1/4,y+1/4,-z'
'x,-y+1/4,-z+1/4'
'-x,y+1/4,z+1/4'
'-x+1/4,y,-z+1/4'
'x+1/4,-y,z+1/4'
'x,y+1/2,z+1/2'
'-x,-y+1/2,-z+1/2'
'-x+1/4,-y+3/4,z+1/2'
'x+1/4,y+3/4,-z+1/2'
'x,-y+3/4,-z+3/4'
'-x,y+3/4,z+3/4'
'-x+1/4,y+1/2,-z+3/4'
'x+1/4,-y+1/2,z+3/4'
'x+1/2,y,z+1/2'
'-x+1/2,-y,-z+1/2'
'-x+3/4,-y+1/4,z+1/2'
'x+3/4,y+1/4,-z+1/2'
'x+1/2,-y+1/4,-z+3/4'
'-x+1/2,y+1/4,z+3/4'
'-x+3/4,y,-z+3/4'
'x+3/4,-y,z+3/4'
'x+1/2,y+1/2,z'
'-x+1/2,-y+1/2,-z'
'-x+3/4,-y+3/4,z'
'x+3/4,y+3/4,-z'
'x+1/2,-y+3/4,-z+1/4'
'-x+1/2,y+3/4,z+1/4'
'-x+3/4,y+1/2,-z+1/4'
'x+3/4,-y+1/2,z+1/4'
loop_
_atom_site_label
_atom_site_type_symbol
_atom_site_fract_x
_atom_site_fract_y
_atom_site_fract_z
Pr1 Pr 0.1250 0.1250 0.2980
U1 U 0.1250 0.1250 0.6250
Si1 Si 0.1250 0.1250 0.1250
Ru1 Ru 0.1156 0.0071 0.8124
```

Principal peaks in the range 2θ from 5° to 70°, sorted by position:
2theta, I_rel, (hkl)
17.49, 19, 1 1 1
29.88, 18, 1 1 5
30.22, 100, 1 3 3
32.91, 48, 0 2 6
33.96, 47, 2 2 0
42.04, 52, 1 5 3
43.13, 50, 2 0 6
43.62, 20, 2 4 2
54.28, 18, 3 3 3
62.46, 15, 3 5 3



# 2
For Pr2Sm3Ru2, DFT lattice parameters and positions (GGA-PBE) gives the simulated X-ray diffraction stick pattern in this record (Cu Kα, 1.54184 Å).

Structural model:
```
data_Pr2Sm3Ru2
_cell_length_a 12.3560
_cell_length_b 3.9301
_cell_length_c 9.0253
_cell_angle_alpha 90.00
_cell_angle_beta 115.34
_cell_angle_gamma 90.00
_space_group_name_H-M_alt 'C 1 2/m 1'
_space_group_IT_number 12
loop_
_space_group_symop_operation_xyz
'x,y,z'
'-x,-y,-z'
'-x,y,-z'
'x,-y,z'
'x+1/2,y+1/2,z'
'-x+1/2,-y+1/2,-z'
'-x+1/2,y+1/2,-z'
'x+1/2,-y+1/2,z'
loop_
_atom_site_label
_atom_site_type_symbol
_atom_site_fract_x
_atom_site_fract_y
_atom_site_fract_z
Pr1 Pr 0.1669 0.0000 0.3044
Sm1 Sm 0.0000 0.5000 0.5000
Sm2 Sm 0.1206 0.5000 0.9240
Ru1 Ru 0.1795 0.0000 0.7352
```

Principal peaks in the range 2θ from 5° to 70°, sorted by position:
2theta, I_rel, (hkl)
29.76, 55, 2 0 -3
30.19, 58, 1 1 -2
31.47, 100, 3 1 -1
32.25, 80, 2 0 2
33.15, 49, 3 1 0
33.61, 75, 3 1 -2
34.94, 59, 1 1 2
38.17, 60, 1 1 -3
46.20, 47, 0 2 0
57.46, 31, 2 2 2